For Li7Si2Ni3O12, a PBE+U-relaxed structure gives the theoretical powder diffractogram in this record (copper Kα).

Structure:
Cell lengths 4.895, 4.895, 19.196 Å; angles 92.34, 92.34, 120.29 degrees
Element x y z (fractional)
Li: 0.000 0.500 0.500
Li: 0.047 0.218 0.623
Li: 0.131 0.640 0.877
Li: 0.218 0.047 0.123
Li: 0.280 0.456 0.376
Li: 0.360 0.869 0.623
Li: 0.456 0.280 0.876
Li: 0.500 0.000 0.000
Li: 0.544 0.720 0.124
Li: 0.640 0.131 0.377
Li: 0.720 0.544 0.624
Li: 0.782 0.953 0.877
Li: 0.869 0.360 0.123
Li: 0.953 0.782 0.377
Si: 0.167 0.333 0.000
Si: 0.333 0.167 0.500
Si: 0.667 0.833 0.500
Si: 0.833 0.667 0.000
Ni: 0.086 0.914 0.750
Ni: 0.251 0.749 0.250
Ni: 0.420 0.580 0.750
Ni: 0.580 0.420 0.250
Ni: 0.749 0.251 0.750
Ni: 0.914 0.086 0.250
O: 0.016 0.889 0.552
O: 0.071 0.587 0.692
O: 0.111 0.984 0.948
O: 0.126 0.267 0.805
O: 0.145 0.645 0.052
O: 0.211 0.372 0.192
O: 0.267 0.126 0.305
O: 0.355 0.855 0.448
O: 0.372 0.211 0.692
O: 0.389 0.517 0.552
O: 0.413 0.929 0.808
O: 0.483 0.611 0.948
O: 0.517 0.389 0.052
O: 0.587 0.071 0.192
O: 0.611 0.483 0.448
O: 0.628 0.789 0.308
O: 0.645 0.145 0.552
O: 0.733 0.874 0.695
O: 0.789 0.628 0.808
O: 0.855 0.355 0.948
O: 0.874 0.733 0.195
O: 0.889 0.016 0.052
O: 0.929 0.413 0.308
O: 0.984 0.111 0.448

Largest 10 diffraction maxima, by angle, 15° ≤ 2θ ≤ 90°:
2θ = 18.55°, I 100; 2θ = 36.86°, I 8; 2θ = 37.26°, I 21; 2θ = 37.45°, I 10; 2θ = 44.80°, I 55; 2θ = 45.03°, I 27; 2θ = 48.95°, I 9; 2θ = 58.71°, I 10; 2θ = 64.44°, I 22; 2θ = 66.34°, I 14